# La8CdBi5
Theoretical powder diffractogram, Cu Kα. Input: a DFT-relaxed cell (PBE, Alexandria).
Intensities are scaled so that the largest is 100.

Cell lengths 9.8338, 9.8338, 9.9454 Å; angles 90.00, 90.00, 90.00 degrees
Space group I-4 (No. 82)
Symmetry-distinct sites (fractional):
La (0.0695, 0.1776, 0.3033)
La (0.0757, 0.3205, 0.9464)
Cd (0.0000, 0.5000, 0.2500)
Bi (0.0000, 0.0000, 0.0000)
Bi (0.1234, 0.2521, 0.6246)

Largest 6 diffraction maxima, in order of falling intensity, 2θ from 10° to 90°:
two_theta	d/Å	I (rel.)	h k l
28.69	3.111	100	1 3 0
34.05	2.633	60	3 2 1
28.41	3.141	48	1 0 3
33.86	2.647	38	1 2 3
41.00	2.202	21	4 0 2
57.68	1.598	17	3 5 2



# Pm4GaTe
Theoretical powder diffractogram, Cu Kα. Input: a DFT-relaxed cell (PBE, Alexandria).
Intensities are scaled so that the largest is 100.

Cell lengths 8.4669, 4.2094, 19.7666 Å; angles 90.00, 90.00, 90.00 degrees
Space group Pnma (No. 62)
Symmetry-distinct sites (fractional):
Pm (0.0030, 0.2500, 0.0694)
Pm (0.0198, 0.7500, 0.2222)
Pm (0.1387, 0.7500, 0.4384)
Pm (0.1525, 0.7500, 0.6498)
Ga (0.2351, 0.2500, 0.5430)
Te (0.2295, 0.2500, 0.3125)

Largest 6 diffraction maxima, in order of falling intensity, 2θ from 10° to 90°:
two_theta	d/Å	I (rel.)	h k l
29.81	2.997	100	1 1 4
32.94	2.719	65	2 1 3
31.00	2.884	60	0 1 5
32.03	2.794	40	3 0 1
42.97	2.105	36	0 2 0
30.28	2.951	24	2 1 1



# Sr2GeP
Theoretical powder diffractogram, Cu Kα. Input: a DFT-relaxed cell (PBE, Alexandria).
Intensities are scaled so that the largest is 100.

Cell lengths 8.3580, 8.3580, 6.9277 Å; angles 90.00, 90.00, 90.00 degrees
Space group I-42d (No. 122)
Symmetry-distinct sites (fractional):
Sr (0.2234, 0.7500, 0.1250)
Ge (0.0000, 0.0000, 0.5000)
P (0.0000, 0.0000, 0.0000)

Largest 6 diffraction maxima, in order of falling intensity, 2θ from 10° to 90°:
two_theta	d/Å	I (rel.)	h k l
29.90	2.988	100	1 1 2
30.25	2.955	87	2 2 0
43.05	2.101	67	3 1 2
43.30	2.090	30	4 0 0
57.61	1.600	28	2 0 4
74.73	1.270	22	4 2 4



# Rb4Ac3YO8
Theoretical powder diffractogram, Cu Kα. Input: a DFT-relaxed cell (PBE, Alexandria).
Intensities are scaled so that the largest is 100.

Cell lengths 7.5984, 7.5984, 19.9159 Å; angles 90.00, 90.00, 120.00 degrees
Space group R-3m (No. 166, hexagonal axes)
Symmetry-distinct sites (fractional):
Rb (0.0000, 0.0000, 0.0000)
Rb (0.0000, 0.5000, 0.0000)
Ac (0.0000, 0.5000, 0.5000)
Y (0.0000, 0.0000, 0.5000)
O (0.0000, 0.0000, 0.2290)
O (0.0180, 0.5090, 0.2269)

Largest 6 diffraction maxima, in order of falling intensity, 2θ from 10° to 90°:
two_theta	d/Å	I (rel.)	h k l
32.62	2.745	100	0 2 4
28.57	3.124	89	2 0 2
13.34	6.639	39	0 0 3
26.86	3.319	38	0 0 6
45.70	1.985	35	2 0 8
47.89	1.900	34	2 2 0